# PuW2O8
Calculated powder diffractogram, a wavelength of 1.5418 Å. Input: DFT lattice parameters and positions (PBE+U).
Kinematic intensities with the Lorentz-polarization factor, no thermal factor.

Cell and atoms:
a = 6.1538 Å, b = 6.1538 Å, c = 6.5458 Å
α = 90.00°, β = 90.00°, γ = 120.00°
Space group P-3m1 (No. 164)
One atom of each set of equivalent atoms:
Pu 0.0000 0.0000 0.0000 [1 per cell]
W 0.3333 0.6667 0.2853 [2 per cell]
O 0.1710 0.3421 0.1909 [6 per cell]
O 0.3333 0.6667 0.5537 [2 per cell]

Peak list (6 most intense, 2θ = 10–80°, sorted by position)
| 2θ/deg | Rel. int. | hkl |
| --- | --- | --- |
| 21.5 | 100.0 | 0 1 1 |
| 29.0 | 43.8 | 1 1 0 |
| 32.1 | 30.5 | 1 0 2 |
| 36.4 | 16.5 | 2 0 1 |
| 43.8 | 16.9 | 0 2 2 |
| 47.2 | 25.0 | 1 2 1 |